Computed powder XRD pattern
Compound: Li2SiNiO4
Radiation: Cu Kα, 1.54184 Å
Structure: the GGA+U geometry in the Materials Project
Kinematic intensities with the Lorentz-polarization factor, no thermal factor.

Main lines, by angle (2θ = 15–90°):
2θ 21.87, I 85.2, hkl 1 0 1; 2θ 25.71, I 100.0, hkl 1 0 2; 2θ 31.13, I 65.7, hkl 0 1 3; 2θ 35.79, I 36.0, hkl 1 1 0; 2θ 39.18, I 24.6, hkl 1 1 2; 2θ 44.61, I 30.5, hkl 0 1 5; 2θ 48.15, I 52.1, hkl 2 0 3; 2θ 56.61, I 24.2, hkl 2 1 1; 2θ 58.46, I 21.1, hkl 2 0 5; 2θ 61.42, I 15.1, hkl 1 2 3

Crystal structure
abc: 5.0178 5.0178 11.4871
angles: 90.00 90.00 120.00
Sites, in units of the cell vectors:
Li: 0.1201 0.6869 0.0000
Li: 0.3131 0.4332 0.3333
Li: 0.4643 0.3408 0.8377
Li: 0.5668 0.8799 0.6667
Li: 0.6592 0.1235 0.1710
Li: 0.8765 0.5357 0.5043
Si: 0.1884 0.1780 0.5839
Si: 0.8220 0.0104 0.9172
Si: 0.9896 0.8116 0.2506
Ni: 0.0310 0.5530 0.7586
Ni: 0.4470 0.4780 0.0919
Ni: 0.5220 0.9690 0.4253
O: 0.1046 0.6787 0.3593
O: 0.1488 0.8407 0.6222
O: 0.1593 0.3081 0.9556
O: 0.2775 0.1490 0.2111
O: 0.3213 0.4260 0.6926
O: 0.4325 0.3075 0.4734
O: 0.5740 0.8954 0.0260
O: 0.6919 0.8512 0.2889
O: 0.6925 0.1250 0.8067
O: 0.8510 0.1285 0.5445
O: 0.8715 0.7225 0.8778
O: 0.8750 0.5675 0.1401